Entry 1:
Ta5Ga: calculated XRD peak list (Cu Kα (weighted mean of Kα1 and Kα2)), based on DFT lattice parameters and positions (GGA-PBE).
Lines closer than 0.1° are merged.

Top 12 peaks for 2θ from 5° to 70°, in order of falling intensity:
two_theta, I (rel.)
38.28, 100
39.67, 22
39.89, 22
57.52, 15
52.91, 10
68.26, 10
68.11, 9
20.70, 3
12.99, 3
33.26, 2
27.84, 1
26.15, 1

Atomic structure:
```
data_Ta5Ga
_chemical_formula_sum 'Ta5 Ga1'
_cell_length_a 7.1806
_cell_length_b 7.1806
_cell_length_c 3.4611
_cell_angle_alpha 90.00
_cell_angle_beta 90.00
_cell_angle_gamma 143.31
_symmetry_space_group_name_H-M 'P 1'
_symmetry_Int_Tables_number 1
loop_
_symmetry_equiv_pos_as_xyz
'x,y,z'
loop_
_atom_site_label
_atom_site_type_symbol
_atom_site_fract_x
_atom_site_fract_y
_atom_site_fract_z
_atom_site_occupancy
Ta1 Ta 0.0000 0.0000 0.0000 1
Ta2 Ta 0.1620 0.8380 0.5000 1
Ta3 Ta 0.3328 0.6672 0.0000 1
Ta4 Ta 0.6672 0.3328 0.0000 1
Ta5 Ta 0.8380 0.1620 0.5000 1
Ga1 Ga 0.5000 0.5000 0.5000 1
```

=====

Entry 2:
AcPm6SmY2: calculated XRD peak list (Cu Kα (weighted mean of Kα1 and Kα2)), based on DFT lattice parameters and positions (GGA-PBE).
Lines closer than 0.1° are merged.

Top 12 peaks for 2θ from 5° to 70°, in order of falling intensity:
two_theta, I (rel.)
29.88, 100
27.64, 92
30.06, 70
29.45, 69
30.86, 58
30.63, 55
31.80, 42
33.49, 39
34.24, 32
52.96, 25
58.83, 19
51.83, 18

Atomic structure:
```
data_AcPm6SmY2
_chemical_formula_sum 'Ac2 Pm12 Sm2 Y4'
_cell_length_a 9.0315
_cell_length_b 9.0315
_cell_length_c 9.7145
_cell_angle_alpha 92.69
_cell_angle_beta 92.69
_cell_angle_gamma 116.20
_symmetry_space_group_name_H-M 'P 1'
_symmetry_Int_Tables_number 1
loop_
_symmetry_equiv_pos_as_xyz
'x,y,z'
loop_
_atom_site_label
_atom_site_type_symbol
_atom_site_fract_x
_atom_site_fract_y
_atom_site_fract_z
_atom_site_occupancy
Ac1 Ac 0.0374 0.9626 0.7500 1
Ac2 Ac 0.9626 0.0374 0.2500 1
Pm1 Pm 0.0067 0.5488 0.6793 1
Pm2 Pm 0.1129 0.7555 0.0579 1
Pm3 Pm 0.2445 0.8871 0.4421 1
Pm4 Pm 0.2928 0.5217 0.8832 1
Pm5 Pm 0.4512 0.9933 0.8207 1
Pm6 Pm 0.4783 0.7072 0.6168 1
Pm7 Pm 0.5217 0.2928 0.3832 1
Pm8 Pm 0.5488 0.0067 0.1793 1
Pm9 Pm 0.7072 0.4783 0.1168 1
Pm10 Pm 0.7555 0.1129 0.5579 1
Pm11 Pm 0.8871 0.2445 0.9421 1
Pm12 Pm 0.9933 0.4512 0.3207 1
Sm1 Sm 0.4100 0.5900 0.2500 1
Sm2 Sm 0.5900 0.4100 0.7500 1
Y1 Y 0.2053 0.3065 0.5515 1
Y2 Y 0.3065 0.2053 0.0515 1
Y3 Y 0.6935 0.7947 0.9485 1
Y4 Y 0.7947 0.6935 0.4485 1
```

=====

Entry 3:
Cs2BeHI6: calculated XRD peak list (Cu Kα (weighted mean of Kα1 and Kα2)), based on DFT lattice parameters and positions (GGA-PBE).
Lines closer than 0.1° are merged.

Top 12 peaks for 2θ from 5° to 70°, in order of falling intensity:
two_theta, I (rel.)
26.57, 100
31.29, 36
52.88, 22
43.70, 17
29.72, 14
24.80, 14
50.87, 12
44.84, 12
46.40, 11
25.73, 8
54.71, 8
34.09, 8

Atomic structure:
```
data_Cs2BeHI6
_chemical_formula_sum 'Cs2 Be1 H1 I6'
_cell_length_a 8.2961
_cell_length_b 8.2961
_cell_length_c 8.2961
_cell_angle_alpha 121.67
_cell_angle_beta 121.67
_cell_angle_gamma 87.13
_symmetry_space_group_name_H-M 'P 1'
_symmetry_Int_Tables_number 1
loop_
_symmetry_equiv_pos_as_xyz
'x,y,z'
loop_
_atom_site_label
_atom_site_type_symbol
_atom_site_fract_x
_atom_site_fract_y
_atom_site_fract_z
_atom_site_occupancy
Cs1 Cs 0.2500 0.7500 0.5000 1
Cs2 Cs 0.7500 0.2500 0.5000 1
Be1 Be 0.0000 0.0000 0.0000 1
H1 H 0.5000 0.5000 0.0000 1
I1 I 0.1922 0.1922 0.0000 1
I2 I 0.2787 0.2787 0.5574 1
I3 I 0.2787 0.7213 0.0000 1
I4 I 0.7213 0.2787 0.0000 1
I5 I 0.7213 0.7213 0.4426 1
I6 I 0.8078 0.8078 0.0000 1
```

=====

Entry 4:
BaZnGe2S6: calculated XRD peak list (Cu Kα (weighted mean of Kα1 and Kα2)), based on DFT lattice parameters and positions (GGA-PBE).
Lines closer than 0.1° are merged.

Top 12 peaks for 2θ from 5° to 70°, in order of falling intensity:
two_theta, I (rel.)
21.04, 100
23.26, 91
26.91, 71
19.91, 52
23.94, 48
29.61, 45
32.89, 44
49.51, 42
40.65, 41
27.19, 39
27.78, 34
30.14, 29

Atomic structure:
```
data_BaZnGe2S6
_chemical_formula_sum 'Ba2 Zn2 Ge4 S12'
_cell_length_a 9.2550
_cell_length_b 9.2550
_cell_length_c 6.8677
_cell_angle_alpha 104.20
_cell_angle_beta 104.20
_cell_angle_gamma 92.44
_symmetry_space_group_name_H-M 'P 1'
_symmetry_Int_Tables_number 1
loop_
_symmetry_equiv_pos_as_xyz
'x,y,z'
loop_
_atom_site_label
_atom_site_type_symbol
_atom_site_fract_x
_atom_site_fract_y
_atom_site_fract_z
_atom_site_occupancy
Ba1 Ba 0.1247 0.8753 0.7500 1
Ba2 Ba 0.8753 0.1247 0.2500 1
Zn1 Zn 0.2417 0.7583 0.2500 1
Zn2 Zn 0.7583 0.2417 0.7500 1
Ge1 Ge 0.2282 0.3722 0.8213 1
Ge2 Ge 0.3722 0.2282 0.3213 1
Ge3 Ge 0.6278 0.7718 0.6787 1
Ge4 Ge 0.7718 0.6278 0.1787 1
S1 S 0.0299 0.2009 0.7247 1
S2 S 0.1506 0.5953 0.9316 1
S3 S 0.2009 0.0299 0.2247 1
S4 S 0.3015 0.4198 0.5408 1
S5 S 0.4047 0.8494 0.5684 1
S6 S 0.4198 0.3015 0.0408 1
S7 S 0.5802 0.6985 0.9592 1
S8 S 0.5953 0.1506 0.4316 1
S9 S 0.6985 0.5802 0.4592 1
S10 S 0.7991 0.9701 0.7753 1
S11 S 0.8494 0.4047 0.0684 1
S12 S 0.9701 0.7991 0.2753 1
```

=====

Entry 5:
Ce2Ag4Te5: calculated XRD peak list (Cu Kα (weighted mean of Kα1 and Kα2)), based on DFT lattice parameters and positions (GGA-PBE).
Lines closer than 0.1° are merged.

Top 12 peaks for 2θ from 5° to 70°, in order of falling intensity:
two_theta, I (rel.)
39.65, 100
28.53, 90
41.90, 61
22.64, 31
25.89, 30
23.48, 29
59.05, 22
65.28, 21
34.04, 21
49.57, 19
31.70, 17
49.45, 15

Atomic structure:
```
data_Ce2Ag4Te5
_chemical_formula_sum 'Ce2 Ag4 Te5'
_cell_length_a 19.0793
_cell_length_b 19.0793
_cell_length_c 19.0793
_cell_angle_alpha 13.68
_cell_angle_beta 13.68
_cell_angle_gamma 13.68
_symmetry_space_group_name_H-M 'P 1'
_symmetry_Int_Tables_number 1
loop_
_symmetry_equiv_pos_as_xyz
'x,y,z'
loop_
_atom_site_label
_atom_site_type_symbol
_atom_site_fract_x
_atom_site_fract_y
_atom_site_fract_z
_atom_site_occupancy
Ce1 Ce 0.1340 0.1340 0.1340 1
Ce2 Ce 0.8660 0.8660 0.8660 1
Ag1 Ag 0.3145 0.3145 0.3145 1
Ag2 Ag 0.4159 0.4159 0.4159 1
Ag3 Ag 0.5841 0.5841 0.5841 1
Ag4 Ag 0.6855 0.6855 0.6855 1
Te1 Te 0.2313 0.2313 0.2313 1
Te2 Te 0.3674 0.3674 0.3674 1
Te3 Te 0.5000 0.5000 0.5000 1
Te4 Te 0.6326 0.6326 0.6326 1
Te5 Te 0.7687 0.7687 0.7687 1
```

=====

Entry 6:
Ho8BiSb5: calculated XRD peak list (Cu Kα (weighted mean of Kα1 and Kα2)), based on DFT lattice parameters and positions (GGA-PBE).
Lines closer than 0.1° are merged.

Top 12 peaks for 2θ from 5° to 70°, in order of falling intensity:
two_theta, I (rel.)
30.79, 100
36.60, 69
50.68, 22
48.56, 18
62.27, 17
65.88, 9
46.37, 9
64.07, 9
62.40, 9
44.06, 7
23.72, 6
65.96, 5

Atomic structure:
```
data_Ho8BiSb5
_chemical_formula_sum 'Ho8 Bi1 Sb5'
_cell_length_a 7.9543
_cell_length_b 7.9543
_cell_length_c 7.9543
_cell_angle_alpha 109.40
_cell_angle_beta 109.40
_cell_angle_gamma 109.62
_symmetry_space_group_name_H-M 'P 1'
_symmetry_Int_Tables_number 1
loop_
_symmetry_equiv_pos_as_xyz
'x,y,z'
loop_
_atom_site_label
_atom_site_type_symbol
_atom_site_fract_x
_atom_site_fract_y
_atom_site_fract_z
_atom_site_occupancy
Ho1 Ho 0.0251 0.1243 0.7546 1
Ho2 Ho 0.2347 0.4825 0.6053 1
Ho3 Ho 0.3698 0.2705 0.2454 1
Ho4 Ho 0.3706 0.7653 0.2478 1
Ho5 Ho 0.5175 0.1228 0.7522 1
Ho6 Ho 0.7295 0.9749 0.0993 1
Ho7 Ho 0.8757 0.6302 0.9007 1
Ho8 Ho 0.8772 0.6294 0.3947 1
Bi1 Bi 0.7500 0.2500 0.5000 1
Sb1 Sb 0.1275 0.0035 0.3771 1
Sb2 Sb 0.2496 0.8725 0.8760 1
Sb3 Sb 0.5000 0.5000 0.0000 1
Sb4 Sb 0.6265 0.7504 0.6229 1
Sb5 Sb 0.9965 0.3735 0.1240 1
```